For Pm4Dy6Sc, a structure optimized by DFT (GGA-PBE) gives the calculated powder diffraction line list in this record (Cu Kα (λ = 1.5418 Å)).

Largest 10 diffraction maxima, in order of rising 2θ, 2θ from 15° to 90°:
d/Å  intensity
2.937  59
2.914  47
2.856  66
2.792  100
2.776  21
2.685  59
2.040  34
1.636  20
1.631  22
1.595  17

abc: 5.586 5.586 25.665
angles: 90.00 90.00 118.52
Element x y z (fractional)
Pm (0.033, 0.967, 0.622)
Pm (0.033, 0.967, 0.878)
Pm (0.346, 0.654, 0.546)
Pm (0.346, 0.654, 0.954)
Pm (0.654, 0.346, 0.046)
Pm (0.654, 0.346, 0.454)
Pm (0.967, 0.033, 0.122)
Pm (0.967, 0.033, 0.378)
Dy (0.000, 0.000, 0.000)
Dy (0.000, 0.000, 0.500)
Dy (0.024, 0.976, 0.750)
Dy (0.307, 0.693, 0.110)
Dy (0.307, 0.693, 0.390)
Dy (0.360, 0.640, 0.684)
Dy (0.360, 0.640, 0.816)
Dy (0.640, 0.360, 0.184)
Dy (0.640, 0.360, 0.316)
Dy (0.693, 0.307, 0.610)
Dy (0.693, 0.307, 0.890)
Dy (0.976, 0.024, 0.250)
Sc (0.311, 0.689, 0.250)
Sc (0.689, 0.311, 0.750)


For PmDy12Sc5, a structure optimized by DFT (GGA-PBE) gives the calculated powder diffraction line list in this record (Cu Kα (λ = 1.5418 Å)).

Largest 10 diffraction maxima, in order of rising 2θ, 2θ from 15° to 90°:
d/Å  intensity
2.896  100
2.802  50
2.787  28
2.726  37
2.593  46
2.524  18
2.385  49
1.775  27
1.745  37
1.481  42

abc: 6.046 6.046 16.932
angles: 93.40 93.40 120.01
Element x y z (fractional)
Pm (0.000, 0.000, 0.000)
Dy (0.056, 0.720, 0.167)
Dy (0.114, 0.447, 0.339)
Dy (0.220, 0.220, 0.661)
Dy (0.280, 0.944, 0.833)
Dy (0.392, 0.392, 0.167)
Dy (0.447, 0.114, 0.339)
Dy (0.553, 0.886, 0.661)
Dy (0.608, 0.608, 0.833)
Dy (0.720, 0.056, 0.167)
Dy (0.780, 0.780, 0.339)
Dy (0.886, 0.553, 0.661)
Dy (0.944, 0.280, 0.833)
Sc (0.167, 0.833, 0.500)
Sc (0.333, 0.667, 0.000)
Sc (0.500, 0.500, 0.500)
Sc (0.667, 0.333, 0.000)
Sc (0.833, 0.167, 0.500)


For Pm6DySc2, a structure optimized by DFT (GGA-PBE) gives the calculated powder diffraction line list in this record (Cu Kα (λ = 1.5418 Å)).

Largest 10 diffraction maxima, in order of rising 2θ, 2θ from 15° to 90°:
d/Å  intensity
3.130  16
2.964  57
2.909  51
2.861  62
2.793  100
2.405  40
2.349  23
1.827  17
1.817  14
1.637  21

abc: 10.182 10.182 5.907
angles: 96.36 96.36 69.69
Element x y z (fractional)
Pm (0.045, 0.829, 0.958)
Pm (0.156, 0.379, 0.136)
Pm (0.171, 0.955, 0.542)
Pm (0.281, 0.504, 0.705)
Pm (0.379, 0.156, 0.636)
Pm (0.496, 0.719, 0.795)
Pm (0.504, 0.281, 0.205)
Pm (0.621, 0.844, 0.364)
Pm (0.719, 0.496, 0.295)
Pm (0.829, 0.045, 0.458)
Pm (0.844, 0.621, 0.864)
Pm (0.955, 0.171, 0.042)
Dy (0.349, 0.651, 0.250)
Dy (0.651, 0.349, 0.750)
Sc (0.019, 0.311, 0.588)
Sc (0.311, 0.019, 0.088)
Sc (0.689, 0.981, 0.912)
Sc (0.981, 0.689, 0.412)


For Pm3DySc3Se8, a structure optimized by DFT (GGA-PBE) gives the calculated powder diffraction line list in this record (Cu Kα (λ = 1.5418 Å)).

Largest 10 diffraction maxima, in order of rising 2θ, 2θ from 15° to 90°:
d/Å  intensity
3.429  13
2.846  100
2.595  9
2.027  36
1.999  35
1.636  18
1.423  11
1.280  15
1.266  16
1.159  11

abc: 8.111 8.111 8.111
angles: 59.05 59.05 59.05
Element x y z (fractional)
Pm (0.000, 0.500, 0.500)
Pm (0.500, 0.000, 0.500)
Pm (0.500, 0.500, 0.000)
Dy (0.500, 0.500, 0.500)
Sc (0.000, 0.000, 0.500)
Sc (0.000, 0.500, 0.000)
Sc (0.500, 0.000, 0.000)
Se (0.229, 0.754, 0.754)
Se (0.242, 0.242, 0.242)
Se (0.246, 0.246, 0.771)
Se (0.246, 0.771, 0.246)
Se (0.754, 0.229, 0.754)
Se (0.754, 0.754, 0.229)
Se (0.758, 0.758, 0.758)
Se (0.771, 0.246, 0.246)